# 1
Simulated powder diffractogram of LiSn3Pd for Cu Kα, 1.54184 Å, from a structure optimized by DFT (GGA-PBE).

Lattice parameters (Å, degrees): 4.7291 9.0634 5.7347 90.00 108.90 90.00
Sites, in units of the cell vectors:
Li: 0.1644 0.2500 0.3163
Li: 0.8356 0.7500 0.6837
Sn: 0.0636 0.7500 0.2353
Sn: 0.3402 0.5154 0.6933
Sn: 0.3402 0.9846 0.6933
Sn: 0.6598 0.0154 0.3067
Sn: 0.6598 0.4846 0.3067
Sn: 0.9364 0.2500 0.7647
Pd: 0.4664 0.7500 0.0042
Pd: 0.5336 0.2500 0.9958

Most intense lines, 2θ from 10° to 80°, low angle first:
| d [Å] | 2theta | I/Imax |
| --- | --- | --- |
| 4.655 | 19.06 | 18 |
| 4.474 | 19.84 | 14 |
| 4.180 | 21.26 | 29 |
| 3.478 | 25.61 | 40 |
| 3.184 | 28.03 | 14 |
| 2.640 | 33.96 | 16 |
| 2.505 | 35.84 | 60 |
| 2.351 | 38.28 | 100 |
| 2.266 | 39.78 | 33 |
| 2.006 | 45.20 | 17 |
| 1.633 | 56.36 | 20 |
| 1.332 | 70.74 | 13 |

***

# 2
Simulated powder diffractogram of LiSnPd4 for Cu Kα, 1.54184 Å, from a structure optimized by DFT (GGA-PBE).

Lattice parameters (Å, degrees): 5.6007 5.6007 6.3816 103.96 103.96 84.86
Sites, in units of the cell vectors:
Li: 0.0974 0.0974 0.3552
Li: 0.9026 0.9026 0.6448
Sn: 0.2708 0.2708 0.9953
Sn: 0.7292 0.7292 0.0047
Pd: 0.0831 0.5859 0.3359
Pd: 0.2112 0.7888 0.0000
Pd: 0.4141 0.9169 0.6641
Pd: 0.4194 0.4194 0.6697
Pd: 0.5806 0.5806 0.3303
Pd: 0.5859 0.0831 0.3359
Pd: 0.7888 0.2112 0.0000
Pd: 0.9169 0.4141 0.6641

Most intense lines, 2θ from 10° to 80°, low angle first:
| d [Å] | 2theta | I/Imax |
| --- | --- | --- |
| 5.432 | 16.32 | 10 |
| 3.646 | 24.42 | 6 |
| 2.398 | 37.51 | 6 |
| 2.292 | 39.31 | 100 |
| 2.067 | 43.80 | 22 |
| 2.010 | 45.10 | 18 |
| 1.889 | 48.16 | 12 |
| 1.395 | 67.12 | 8 |
| 1.377 | 68.10 | 9 |
| 1.233 | 77.38 | 6 |
| 1.209 | 79.23 | 6 |
| 1.207 | 79.39 | 6 |

***

# 3
Simulated powder diffractogram of Li4Sn3Pd4 for Cu Kα, 1.54184 Å, from a structure optimized by DFT (GGA-PBE).

Lattice parameters (Å, degrees): 3.0065 4.2872 14.5655 81.66 89.68 89.95
Sites, in units of the cell vectors:
Li: 0.0000 0.0000 0.0000
Li: 0.0039 0.3585 0.2842
Li: 0.4999 0.1800 0.6467
Li: 0.5052 0.5281 0.9451
Sn: 0.9998 0.2688 0.4667
Sn: 0.0007 0.6178 0.7665
Sn: 0.5069 0.9087 0.1837
Pd: 0.0019 0.7134 0.5793
Pd: 0.0092 0.4471 0.1064
Pd: 0.4991 0.0831 0.8359
Pd: 0.5020 0.8095 0.3832

Most intense lines, 2θ from 10° to 80°, low angle first:
| d [Å] | 2theta | I/Imax |
| --- | --- | --- |
| 4.804 | 18.47 | 97 |
| 3.440 | 25.90 | 57 |
| 2.566 | 34.97 | 19 |
| 2.453 | 36.64 | 100 |
| 2.386 | 37.70 | 23 |
| 2.236 | 40.34 | 97 |
| 2.144 | 42.16 | 51 |
| 2.117 | 42.71 | 32 |
| 2.109 | 42.89 | 31 |
| 1.957 | 46.39 | 24 |
| 1.882 | 48.37 | 18 |
| 1.871 | 48.65 | 18 |

***

# 4
Simulated powder diffractogram of LiSn6Pd2 for Cu Kα, 1.54184 Å, from a structure optimized by DFT (GGA-PBE).

Lattice parameters (Å, degrees): 6.7292 6.7292 8.7623 90.00 90.00 90.00
Sites, in units of the cell vectors:
Li: 0.0000 0.0000 0.0000
Li: 0.5000 0.5000 0.0000
Sn: 0.1592 0.3408 0.1794
Sn: 0.1592 0.3408 0.8206
Sn: 0.1625 0.6625 0.5000
Sn: 0.3375 0.1625 0.5000
Sn: 0.3408 0.8408 0.1794
Sn: 0.3408 0.8408 0.8206
Sn: 0.6592 0.1592 0.1794
Sn: 0.6592 0.1592 0.8206
Sn: 0.6625 0.8375 0.5000
Sn: 0.8375 0.3375 0.5000
Sn: 0.8408 0.6592 0.1794
Sn: 0.8408 0.6592 0.8206
Pd: 0.0000 0.0000 0.3205
Pd: 0.0000 0.0000 0.6795
Pd: 0.5000 0.5000 0.3205
Pd: 0.5000 0.5000 0.6795

Most intense lines, 2θ from 10° to 80°, low angle first:
| d [Å] | 2theta | I/Imax |
| --- | --- | --- |
| 8.762 | 10.09 | 22 |
| 2.921 | 30.61 | 27 |
| 2.846 | 31.43 | 98 |
| 2.489 | 36.08 | 50 |
| 2.481 | 36.21 | 100 |
| 2.206 | 40.92 | 55 |
| 2.128 | 42.48 | 67 |
| 1.514 | 61.20 | 30 |
| 1.458 | 63.85 | 25 |
| 1.394 | 67.16 | 41 |
| 1.204 | 79.62 | 19 |
| 1.202 | 79.79 | 20 |